Diffraction record for Pr3Nd2Er5. The X-ray diffraction stick pattern is calculated, not measured: it uses a crystal structure in Alexandria, relaxed with PBE and Cu Kα, 1.54184 Å.
Peak positions follow from Bragg's law for the DFT cell and can differ from measured ones.

Largest 8 diffraction maxima, in order of rising 2θ, 2θ from 10° to 90°:
2θ 29.8, I 100, hkl 2 4 0; 2θ 30.7, I 91, hkl 2 2 1; 2θ 31.9, I 20, hkl 0 4 2; 2θ 33.7, I 43, hkl 4 0 -2; 2θ 36.8, I 26, hkl 2 6 -1; 2θ 60.5, I 20, hkl 4 6 1; 2θ 64.0, I 20, hkl 2 10 1; 2θ 67.5, I 20, hkl 2 4 4

Crystal structure
Unit cell a=10.6405 b=16.4537 c=9.3367 alpha=90.00 beta=124.71 gamma=90.00
Space group C2/c (No. 15)
Inequivalent atoms, fractional coordinates:
Pr1 0.0000 0.2323 0.2500 x4
Pr2 0.1482 0.1237 0.0472 x8
Nd1 0.1475 0.3806 0.5447 x8
Er1 0.0000 0.0259 0.2500 x4
Er2 0.0000 0.2728 0.7500 x4
Er3 0.0000 0.4719 0.7500 x4
Er4 0.2479 0.3864 0.2419 x8